The following is a computed X-ray diffraction stick pattern of K2ThSnSe4. It was derived from a structure optimized by DFT (GGA-PBE), using Cu Ka.
Kinematic intensities with the Lorentz-polarization factor, no thermal factor.

Largest 6 diffraction maxima, in order of rising 2θ, 10 to 80 degrees two-theta:
- 2θ = 11.63°, I 812, hkl 0 0 1
- 2θ = 23.67°, I 227, hkl 1 1 0
- 2θ = 28.12°, I 1000, hkl 1 1 1
- 2θ = 28.25°, I 483, hkl 2 0 -2
- 2θ = 39.61°, I 334, hkl 1 1 -3
- 2θ = 40.94°, I 369, hkl 3 1 -1

```
data_K2ThSnSe4
_chemical_formula_sum 'K2 Th1 Sn1 Se4'
_cell_length_a 7.651
_cell_length_b 4.384
_cell_length_c 7.993
_cell_angle_alpha 90.00
_cell_angle_beta 107.89
_cell_angle_gamma 90.00
_space_group_name_H-M_alt 'P 1'
_space_group_IT_number 1
_space_group_name_Hall 'P 1'
loop_
_atom_site_label
_atom_site_type_symbol
_atom_site_fract_x
_atom_site_fract_y
_atom_site_fract_z
K1 K 0.000 0.000 0.000
K2 K 0.500 0.500 0.000
Th1 Th 0.000 0.500 0.500
Sn1 Sn 0.500 0.000 0.500
Se1 Se 0.226 0.000 0.708
Se2 Se 0.248 0.500 0.291
Se3 Se 0.752 0.500 0.709
Se4 Se 0.774 0.000 0.292
```

***

The following is a computed X-ray diffraction stick pattern of K2Rb. It was derived from a structure optimized by DFT (GGA-PBE), using Cu Ka.
Kinematic intensities with the Lorentz-polarization factor, no thermal factor.

Largest 6 diffraction maxima, in order of rising 2θ, 10 to 80 degrees two-theta:
- 2θ = 22.73°, I 1000, hkl 1 0 2
- 2θ = 22.93°, I 974, hkl 0 1 3
- 2θ = 24.86°, I 405, hkl -1 1 1
- 2θ = 25.15°, I 393, hkl 1 2 2
- 2θ = 29.07°, I 249, hkl 0 1 -3
- 2θ = 42.77°, I 342, hkl -1 2 4

```
data_K2Rb
_chemical_formula_sum 'K4 Rb2'
_cell_length_a 5.073
_cell_length_b 8.463
_cell_length_c 12.140
_cell_angle_alpha 70.67
_cell_angle_beta 78.39
_cell_angle_gamma 73.14
_space_group_name_H-M_alt 'P 1'
_space_group_IT_number 1
_space_group_name_Hall 'P 1'
loop_
_atom_site_label
_atom_site_type_symbol
_atom_site_fract_x
_atom_site_fract_y
_atom_site_fract_z
K1 K 0.005 0.225 0.265
K2 K 0.333 0.259 0.575
K3 K 0.667 0.741 0.425
K4 K 0.995 0.775 0.735
Rb1 Rb 0.337 0.736 0.089
Rb2 Rb 0.663 0.264 0.911
```

***

The following is a computed X-ray diffraction stick pattern of BaLi2SmI8. It was derived from a structure optimized by DFT (GGA-PBE), using Cu Ka.
Kinematic intensities with the Lorentz-polarization factor, no thermal factor.

Largest 6 diffraction maxima, in order of rising 2θ, 10 to 80 degrees two-theta:
- 2θ = 24.92°, I 915, hkl 1 1 1
- 2θ = 26.96°, I 203, hkl 0 0 3
- 2θ = 29.46°, I 1000, hkl 2 -1 2
- 2θ = 40.81°, I 384, hkl 3 0 0
- 2θ = 43.47°, I 254, hkl 1 1 4
- 2θ = 49.58°, I 225, hkl 3 0 3

```
data_BaLi2SmI8
_chemical_formula_sum 'Ba1 Li2 Sm1 I8'
_cell_length_a 7.660
_cell_length_b 7.660
_cell_length_c 9.922
_cell_angle_alpha 90.00
_cell_angle_beta 90.00
_cell_angle_gamma 120.00
_space_group_name_H-M_alt 'P 1'
_space_group_IT_number 1
_space_group_name_Hall 'P 1'
loop_
_atom_site_label
_atom_site_type_symbol
_atom_site_fract_x
_atom_site_fract_y
_atom_site_fract_z
Ba1 Ba 0.000 0.000 0.000
Li1 Li 0.333 0.667 0.727
Li2 Li 0.667 0.333 0.273
Sm1 Sm 0.000 0.000 0.500
I1 I 0.019 0.697 0.305
I2 I 0.303 0.321 0.305
I3 I 0.321 0.019 0.695
I4 I 0.333 0.667 0.999
I5 I 0.667 0.333 0.001
I6 I 0.679 0.981 0.305
I7 I 0.697 0.679 0.695
I8 I 0.981 0.303 0.695
```

***

Repeat the first record exactly.
The following is a computed X-ray diffraction stick pattern of K2ThSnSe4. It was derived from a structure optimized by DFT (GGA-PBE), using Cu Ka.
Kinematic intensities with the Lorentz-polarization factor, no thermal factor.

Largest 6 diffraction maxima, in order of rising 2θ, 10 to 80 degrees two-theta:
- 2θ = 11.63°, I 812, hkl 0 0 1
- 2θ = 23.67°, I 227, hkl 1 1 0
- 2θ = 28.12°, I 1000, hkl 1 1 1
- 2θ = 28.25°, I 483, hkl 2 0 -2
- 2θ = 39.61°, I 334, hkl 1 1 -3
- 2θ = 40.94°, I 369, hkl 3 1 -1

```
data_K2ThSnSe4
_chemical_formula_sum 'K2 Th1 Sn1 Se4'
_cell_length_a 7.651
_cell_length_b 4.384
_cell_length_c 7.993
_cell_angle_alpha 90.00
_cell_angle_beta 107.89
_cell_angle_gamma 90.00
_space_group_name_H-M_alt 'P 1'
_space_group_IT_number 1
_space_group_name_Hall 'P 1'
loop_
_atom_site_label
_atom_site_type_symbol
_atom_site_fract_x
_atom_site_fract_y
_atom_site_fract_z
K1 K 0.000 0.000 0.000
K2 K 0.500 0.500 0.000
Th1 Th 0.000 0.500 0.500
Sn1 Sn 0.500 0.000 0.500
Se1 Se 0.226 0.000 0.708
Se2 Se 0.248 0.500 0.291
Se3 Se 0.752 0.500 0.709
Se4 Se 0.774 0.000 0.292
```